SrCaCo4O12: computed powder XRD pattern (Cu Kα (λ = 1.5418 Å)), based on a PBE+U-relaxed structure.
No peak broadening, texture or thermal motion is included.

Most intense lines, 2θ = 10–80°, sorted by position:
- (1 0 1), 20.4 deg, intensity 42
- (1 1 0), 23.6 deg, intensity 47
- (2 0 0), 33.7 deg, intensity 100
- (2 1 1), 39.7 deg, intensity 22
- (2 2 0), 48.4 deg, intensity 55
- (2 1 3), 53.0 deg, intensity 9
- (3 1 0), 54.5 deg, intensity 14
- (2 0 4), 60.3 deg, intensity 37
- (3 0 3), 64.3 deg, intensity 7
- (4 0 0), 70.8 deg, intensity 29

Atomic structure:
Cell: 5.320 5.320 7.527 Å, 90.00 90.00 90.00°
Space group P4/mmm (No. 123)
One atom of each set of equivalent atoms:
Sr 0.000 0.000 0.000 x1
Ca 0.500 0.500 0.500 x1
Co 0.000 0.500 0.251 x4
O 0.000 0.500 0.000 x2
O 0.000 0.500 0.500 x2
O 0.254 0.254 0.256 x8